For Na2VO4, a GGA+U-relaxed structure gives the simulated powder X-ray diffraction pattern in this record (Cu Kα (λ = 1.5418 Å)).
Peak positions follow from Bragg's law for the DFT cell and can differ from measured ones.

Structure:
```
Na2VO4
1.0
8.5966 0.0000 0.0000
0.0000 8.7292 0.0000
-1.0829 0.0000 11.2180
Na V O
16 8 32
direct
0.0398 0.1826 0.9996
0.0398 0.3174 0.4996
0.2857 0.5527 0.0301
0.2857 0.9473 0.5301
0.3167 0.6585 0.3144
0.3167 0.8415 0.8144
0.3369 0.2186 0.8221
0.3369 0.2814 0.3221
0.6631 0.7186 0.6779
0.6631 0.7814 0.1779
0.6833 0.1585 0.1856
0.6833 0.3415 0.6856
0.7143 0.0527 0.4699
0.7143 0.4473 0.9699
0.9602 0.6826 0.5004
0.9602 0.8174 0.0004
0.0405 0.5272 0.8066
0.0405 0.9728 0.3066
0.3067 0.5297 0.6107
0.3067 0.9703 0.1107
0.6933 0.0297 0.8893
0.6933 0.4703 0.3893
0.9595 0.0272 0.6934
0.9595 0.4728 0.1934
0.1033 0.5226 0.6524
0.1033 0.9774 0.1524
0.1168 0.6878 0.8790
0.1168 0.8122 0.3790
0.1245 0.1248 0.3854
0.1245 0.3752 0.8854
0.1596 0.0283 0.6961
0.1596 0.4717 0.1961
0.2887 0.0353 0.9676
0.2887 0.4647 0.4676
0.3752 0.7143 0.6217
0.3752 0.7857 0.1217
0.4259 0.0893 0.2020
0.4259 0.4107 0.7020
0.5000 0.1196 0.5958
0.5000 0.3804 0.0958
0.5000 0.6196 0.9042
0.5000 0.8804 0.4042
0.5741 0.5893 0.2980
0.5741 0.9107 0.7980
0.6248 0.2143 0.8783
0.6248 0.2857 0.3783
0.7113 0.5353 0.5324
0.7113 0.9647 0.0324
0.8404 0.5283 0.8039
0.8404 0.9717 0.3039
0.8755 0.6248 0.1146
0.8755 0.8752 0.6146
0.8832 0.1878 0.6210
0.8832 0.3122 0.1210
0.8967 0.0226 0.8476
0.8967 0.4774 0.3476
```

Main lines, in order of rising 2θ (10° ≤ 2θ ≤ 90°):
| d_spacing | 2theta | I (rel.) |
| --- | --- | --- |
| 5.218 | 16.99 | 483 |
| 4.365 | 20.35 | 470 |
| 3.571 | 24.93 | 233 |
| 3.542 | 25.14 | 170 |
| 3.292 | 27.09 | 682 |
| 3.132 | 28.50 | 1000 |
| 2.852 | 31.36 | 237 |
| 2.804 | 31.92 | 188 |
| 2.764 | 32.39 | 368 |
| 2.692 | 33.28 | 380 |
| 2.638 | 33.98 | 226 |
| 1.777 | 51.43 | 254 |